(1)
Theoretical powder X-ray diffraction pattern of AgSn2Br8 for Cu Kα, from DFT lattice parameters and positions (PBE).

Atomic structure:
```
AgSn2Br8
1.0
8.039 0.000 0.000
-4.020 6.962 0.000
0.000 0.000 8.977
Ag Sn Br
1 2 8
direct
0.000 0.000 0.000
0.333 0.667 0.292
0.667 0.333 0.708
0.158 0.317 0.199
0.158 0.842 0.199
0.317 0.158 0.801
0.333 0.667 0.573
0.667 0.333 0.427
0.683 0.842 0.199
0.842 0.158 0.801
0.842 0.683 0.801
```

Top 12 peaks for 10 to 80 degrees two-theta, in order of rising 2θ:
2θ 16.1, rel. 100; 2θ 22.1, rel. 23; 2θ 25.6, rel. 14; 2θ 27.5, rel. 19; 2θ 32.6, rel. 44; 2θ 35.6, rel. 31; 2θ 37.5, rel. 14; 2θ 45.1, rel. 27; 2θ 45.9, rel. 16; 2θ 48.2, rel. 35; 2θ 49.7, rel. 12; 2θ 68.2, rel. 16

(2)
Theoretical powder X-ray diffraction pattern of PaCu2BiO6 for Cu Kα, from DFT lattice parameters and positions (PBE).

Atomic structure:
```
PaCu2BiO6
1.0
4.971 -5.116 0.000
4.971 5.116 0.000
-0.577 0.000 5.820
Pa Cu Bi O
2 4 2 12
direct
0.191 0.809 0.750
0.809 0.191 0.250
0.102 0.290 0.811
0.290 0.102 0.311
0.710 0.898 0.689
0.898 0.710 0.189
0.380 0.620 0.250
0.620 0.380 0.750
0.086 0.195 0.119
0.115 0.659 0.404
0.195 0.086 0.619
0.232 0.534 0.889
0.341 0.885 0.096
0.466 0.768 0.611
0.534 0.232 0.389
0.659 0.115 0.904
0.768 0.466 0.111
0.805 0.914 0.381
0.885 0.341 0.596
0.914 0.805 0.881
```

Top 12 peaks for 10 to 80 degrees two-theta, in order of rising 2θ:
2θ 17.9, rel. 70; 2θ 23.1, rel. 37; 2θ 25.0, rel. 27; 2θ 28.5, rel. 100; 2θ 30.4, rel. 80; 2θ 30.7, rel. 48; 2θ 31.3, rel. 45; 2θ 34.2, rel. 17; 2θ 36.3, rel. 16; 2θ 37.4, rel. 17; 2θ 42.1, rel. 31; 2θ 52.6, rel. 20

(3)
Theoretical powder X-ray diffraction pattern of AgPd3Se for Cu Kα, from DFT lattice parameters and positions (PBE).

Atomic structure:
```
AgPd3Se
1.0
8.767 0.000 0.000
0.000 8.767 0.000
0.000 0.000 8.767
Ag Pd Se
8 24 8
direct
0.094 0.094 0.094
0.094 0.406 0.594
0.406 0.594 0.094
0.406 0.906 0.594
0.594 0.094 0.406
0.594 0.406 0.906
0.906 0.594 0.406
0.906 0.906 0.906
0.087 0.722 0.137
0.087 0.778 0.637
0.137 0.087 0.722
0.137 0.413 0.222
0.222 0.137 0.413
0.222 0.363 0.913
0.278 0.637 0.413
0.278 0.863 0.913
0.363 0.587 0.722
0.363 0.913 0.222
0.413 0.222 0.137
0.413 0.278 0.637
0.587 0.722 0.363
0.587 0.778 0.863
0.637 0.087 0.778
0.637 0.413 0.278
0.722 0.137 0.087
0.722 0.363 0.587
0.778 0.637 0.087
0.778 0.863 0.587
0.863 0.587 0.778
0.863 0.913 0.278
0.913 0.222 0.363
0.913 0.278 0.863
0.123 0.623 0.877
0.123 0.877 0.377
0.377 0.123 0.877
0.377 0.377 0.377
0.623 0.623 0.623
0.623 0.877 0.123
0.877 0.123 0.623
0.877 0.377 0.123
```

Top 12 peaks for 10 to 80 degrees two-theta, in order of rising 2θ:
2θ 33.9, rel. 9; 2θ 37.0, rel. 72; 2θ 38.4, rel. 100; 2θ 41.2, rel. 24; 2θ 42.5, rel. 17; 2θ 46.3, rel. 8; 2θ 47.5, rel. 19; 2θ 63.7, rel. 7; 2θ 65.6, rel. 33; 2θ 68.5, rel. 15; 2θ 76.0, rel. 7; 2θ 78.7, rel. 8

(4)
Theoretical powder X-ray diffraction pattern of SmTh2Pd7 for Cu Kα, from DFT lattice parameters and positions (PBE).

Atomic structure:
```
SmTh2Pd7
1.0
0.000 4.330 8.565
2.894 0.000 8.565
2.894 4.330 0.000
Sm Th Pd
1 2 7
direct
0.000 0.000 0.000
0.332 0.332 0.668
0.668 0.668 0.332
0.084 0.084 0.416
0.250 0.250 0.250
0.416 0.416 0.084
0.500 0.500 0.500
0.584 0.584 0.916
0.750 0.750 0.750
0.916 0.916 0.584
```

Top 12 peaks for 10 to 80 degrees two-theta, in order of rising 2θ:
2θ 19.2, rel. 18; 2θ 24.2, rel. 78; 2θ 37.4, rel. 100; 2θ 37.7, rel. 97; 2θ 38.2, rel. 24; 2θ 41.7, rel. 37; 2θ 44.6, rel. 61; 2θ 62.7, rel. 45; 2θ 73.3, rel. 14; 2θ 73.5, rel. 14; 2θ 77.1, rel. 24; 2θ 77.8, rel. 27

(5)
Theoretical powder X-ray diffraction pattern of Ce3DyC8 for Cu Kα, from DFT lattice parameters and positions (PBE).

Atomic structure:
```
Ce3DyC8
1.0
0.000 5.102 4.023
4.572 0.000 4.023
4.572 5.102 0.000
Ce Dy C
3 1 8
direct
0.000 0.000 0.000
0.191 0.191 0.309
0.691 0.691 0.809
0.494 0.494 0.506
0.105 0.435 0.565
0.166 0.644 0.356
0.373 0.878 0.627
0.435 0.105 0.895
0.590 0.910 0.410
0.644 0.166 0.834
0.878 0.373 0.122
0.910 0.590 0.090
```

Top 12 peaks for 10 to 80 degrees two-theta, in order of rising 2θ:
2θ 26.2, rel. 100; 2θ 28.3, rel. 82; 2θ 29.6, rel. 89; 2θ 34.5, rel. 16; 2θ 35.2, rel. 35; 2θ 39.4, rel. 26; 2θ 46.6, rel. 54; 2θ 49.2, rel. 41; 2θ 52.9, rel. 23; 2θ 53.9, rel. 19; 2θ 57.9, rel. 13; 2θ 59.0, rel. 14

(6)
Theoretical powder X-ray diffraction pattern of Pu2Sn8Rh for Cu Kα, from DFT lattice parameters and positions (PBE).

Atomic structure:
```
Pu2Sn8Rh
1.0
4.674 0.000 0.000
0.000 4.674 0.000
0.000 0.000 12.354
Pu Sn Rh
2 8 1
direct
0.000 0.000 0.190
0.000 0.000 0.810
0.000 0.500 0.000
0.000 0.500 0.376
0.000 0.500 0.624
0.500 0.000 0.000
0.500 0.000 0.376
0.500 0.000 0.624
0.500 0.500 0.189
0.500 0.500 0.811
0.000 0.000 0.500
```

Top 12 peaks for 10 to 80 degrees two-theta, in order of rising 2θ:
2θ 19.0, rel. 13; 2θ 28.9, rel. 9; 2θ 30.7, rel. 33; 2θ 34.8, rel. 100; 2θ 36.4, rel. 17; 2θ 38.5, rel. 51; 2θ 54.0, rel. 22; 2θ 55.6, rel. 19; 2θ 64.9, rel. 8; 2θ 66.9, rel. 16; 2θ 67.3, rel. 31; 2θ 68.3, rel. 12